The following is a theoretical powder diffractogram of Ce2P4Pt3Rh. It was derived from the PBE geometry in Alexandria, using a wavelength of 1.5418 Å.

Atomic structure:
a b c (Å): 4.305 4.305 9.427
angles (deg): 90.00 90.00 90.00
Fractional coordinates of all 10 atoms:
Ce 0.000 0.500 0.247
Ce 0.500 0.000 0.753
P 0.000 0.000 0.000
P 0.000 0.500 0.630
P 0.500 0.000 0.370
P 0.500 0.500 0.000
Pt 0.000 0.500 0.883
Pt 0.500 0.000 0.117
Pt 0.500 0.500 0.500
Rh 0.000 0.000 0.500

Top 10 peaks for 2θ = 10–90°, most intense first:
| 2theta | d/Å | intensity | index |
| --- | --- | --- | --- |
| 35.36 | 2.538 | 100 | 1 0 3 |
| 35.09 | 2.557 | 91 | 1 1 2 |
| 41.97 | 2.153 | 90 | 2 0 0 |
| 30.87 | 2.897 | 83 | 1 1 1 |
| 56.02 | 1.642 | 53 | 2 1 3 |
| 28.07 | 3.179 | 45 | 1 0 2 |
| 69.81 | 1.347 | 36 | 2 1 5 |
| 60.86 | 1.522 | 30 | 2 2 0 |
| 29.34 | 3.044 | 27 | 1 1 0 |
| 48.87 | 1.864 | 26 | 1 1 4 |